# Zr4Fe4Ge7
Simulated XRD peak list, Cu Kα (λ = 1.5418 Å). Input: DFT lattice parameters and positions (PBE).
No peak broadening, texture or thermal motion is included.

```
Zr4Fe4Ge7
1.0
-6.7122 6.7122 2.5869
6.7122 -6.7122 2.5869
6.7122 6.7122 -2.5869
Zr Fe Ge
8 8 14
direct
0.0000 0.1954 0.1954 Zr
0.0000 0.8046 0.8046 Zr
0.1954 0.0000 0.1954 Zr
0.3611 0.3611 0.7221 Zr
0.3611 0.6389 0.0000 Zr
0.6389 0.3611 0.0000 Zr
0.6389 0.6389 0.2779 Zr
0.8046 0.0000 0.8046 Zr
0.1017 0.6017 0.2035 Fe
0.1017 0.8983 0.5000 Fe
0.3983 0.6017 0.5000 Fe
0.3983 0.8983 0.7965 Fe
0.6017 0.1017 0.2035 Fe
0.6017 0.3983 0.5000 Fe
0.8983 0.1017 0.5000 Fe
0.8983 0.3983 0.7965 Fe
0.0000 0.4065 0.4065 Ge
0.0000 0.5935 0.5935 Ge
0.2069 0.2069 0.4139 Ge
0.2069 0.7931 0.0000 Ge
0.2089 0.5000 0.7089 Ge
0.2508 0.2508 0.0000 Ge
0.4065 0.0000 0.4065 Ge
0.5000 0.2089 0.7089 Ge
0.5000 0.7911 0.2911 Ge
0.5935 0.0000 0.5935 Ge
0.7492 0.7492 0.0000 Ge
0.7911 0.5000 0.2911 Ge
0.7931 0.2069 0.0000 Ge
0.7931 0.7931 0.5861 Ge
```

Most intense lines, 2θ = 5–70°, most intense first:
2θ = 37.75°, d 2.383, intensity 100
2θ = 40.85°, d 2.209, intensity 43
2θ = 40.31°, d 2.237, intensity 23
2θ = 64.18°, d 1.451, intensity 20
2θ = 37.91°, d 2.373, intensity 16
2θ = 34.68°, d 2.587, intensity 14